For Pm8Pr3Ho3, a crystal structure in Alexandria, relaxed with GGA-PBE gives the calculated powder XRD pattern in this record (CuKα).
Intensities are scaled so that the largest is 100.

```
data_Pm8Pr3Ho3
_space_group_name_H-M_alt 'I m m m'
_space_group_IT_number 71
_space_group_name_Hall '-I 2 2'
_cell_length_a 5.7598
_cell_length_b 10.9513
_cell_length_c 15.3091
_cell_angle_alpha 90.00
_cell_angle_beta 90.00
_cell_angle_gamma 90.00
loop_
_atom_site_label
_atom_site_fract_x
_atom_site_fract_y
_atom_site_fract_z
_atom_site_occupancy
Pm1 0.0000 0.1599 0.2208 1
Pm2 0.0000 0.3388 0.3972 1
Pr1 0.0000 0.0000 0.5000 1
Pr2 0.0000 0.5000 0.1805 1
Ho1 0.0000 0.0000 0.0000 1
Ho2 0.0000 0.2979 0.0000 1
```

Principal peaks in the range 2θ = 10–80°, in order of rising 2θ:
2θ (°), d/Å, I_rel, h k l
28.5, 3.133, 14.2, 1 2 3
29.2, 3.061, 32.7, 1 1 4
30.1, 2.969, 29.9, 0 3 3
31.1, 2.880, 53.1, 2 0 0
31.3, 2.860, 100.0, 1 3 2
33.1, 2.704, 54.5, 1 0 5
43.8, 2.067, 21.5, 2 3 3
55.4, 1.659, 19.9, 3 3 2
56.6, 1.626, 21.2, 3 0 5
60.0, 1.542, 13.6, 2 6 0

---

For Pm10PrHo4, a crystal structure in Alexandria, relaxed with GGA-PBE gives the calculated powder XRD pattern in this record (CuKα).
Intensities are scaled so that the largest is 100.

```
data_Pm10PrHo4
_space_group_name_H-M_alt 'I 4/m'
_space_group_IT_number 87
_space_group_name_Hall '-I 4'
_cell_length_a 9.9629
_cell_length_b 9.9629
_cell_length_c 10.8226
_cell_angle_alpha 90.00
_cell_angle_beta 90.00
_cell_angle_gamma 90.00
loop_
_atom_site_label
_atom_site_fract_x
_atom_site_fract_y
_atom_site_fract_z
_atom_site_occupancy
Pm1 0.0000 0.5000 0.2500 1
Pm2 0.1176 0.7746 0.1709 1
Pr1 0.0000 0.0000 0.0000 1
Ho1 0.0576 0.7218 0.5000 1
```

Principal peaks in the range 2θ = 10–80°, in order of rising 2θ:
2θ (°), d/Å, I_rel, h k l
21.6, 4.120, 16.3, 1 2 1
26.3, 3.392, 25.7, 1 0 3
28.3, 3.151, 81.7, 1 3 0
30.3, 2.952, 13.8, 2 2 2
31.9, 2.804, 100.0, 1 2 3
32.9, 2.723, 35.9, 1 3 2
40.5, 2.228, 29.0, 4 2 0
41.1, 2.194, 23.1, 3 2 3
59.0, 1.565, 20.8, 3 1 6
65.3, 1.429, 15.1, 4 5 3